(1)
Dy2UGe3Pt4: computed powder diffraction line list (CuKα), based on a structure optimized by DFT (GGA-PBE).

Crystal structure
```
data_Dy2UGe3Pt4
_cell_length_a 4.2466
_cell_length_b 4.2466
_cell_length_c 11.2462
_cell_angle_alpha 90.00
_cell_angle_beta 90.00
_cell_angle_gamma 90.00
_symmetry_space_group_name_H-M 'P -4 m 2'
_symmetry_Int_Tables_number 115
loop_
_symmetry_equiv_pos_as_xyz
'x,y,z'
'y,-x,-z'
'-x,-y,z'
'-y,x,-z'
'-x,y,z'
'-y,-x,-z'
'x,-y,z'
'y,x,-z'
loop_
_atom_site_label
_atom_site_type_symbol
_atom_site_fract_x
_atom_site_fract_y
_atom_site_fract_z
_atom_site_occupancy
Dy1 Dy 0.0000 0.5000 0.2195 1
U1 U 0.0000 0.0000 0.5000 1
Ge1 Ge 0.0000 0.5000 0.8739 1
Ge2 Ge 0.5000 0.5000 0.5000 1
Pt1 Pt 0.0000 0.0000 0.0000 1
Pt2 Pt 0.0000 0.5000 0.6579 1
Pt3 Pt 0.5000 0.5000 0.0000 1
```

Principal peaks in the range 5 to 70 degrees two-theta, sorted by position:
- 2θ 26.30, d = 3.389 Å, I 18
- 2θ 31.84, d = 2.811 Å, I 25
- 2θ 33.84, d = 2.649 Å, I 100
- 2θ 38.40, d = 2.344 Å, I 15
- 2θ 42.58, d = 2.123 Å, I 49
- 2θ 44.13, d = 2.052 Å, I 28
- 2θ 45.65, d = 1.988 Å, I 18
- 2θ 54.13, d = 1.694 Å, I 14
- 2θ 61.79, d = 1.501 Å, I 17
- 2θ 64.18, d = 1.451 Å, I 12


(2)
Ca4Mg4P4O17F3: computed powder diffraction line list (CuKα), based on a structure optimized by DFT (GGA-PBE).

Crystal structure
```
data_Ca4Mg4P4O17F3
_cell_length_a 13.2092
_cell_length_b 8.8396
_cell_length_c 6.5673
_cell_angle_alpha 90.00
_cell_angle_beta 95.40
_cell_angle_gamma 90.00
_symmetry_space_group_name_H-M 'C 1 2 1'
_symmetry_Int_Tables_number 5
loop_
_symmetry_equiv_pos_as_xyz
'x,y,z'
'-x,y,-z'
'x+1/2,y+1/2,z'
'-x+1/2,y+1/2,-z'
loop_
_atom_site_label
_atom_site_type_symbol
_atom_site_fract_x
_atom_site_fract_y
_atom_site_fract_z
_atom_site_occupancy
Ca1 Ca 0.0000 0.0000 0.0000 1
Ca2 Ca 0.0000 0.4982 0.5000 1
Ca3 Ca 0.2415 0.3246 0.2395 1
Mg1 Mg 0.1252 0.1600 0.6238 1
Mg2 Mg 0.1272 0.6616 0.1190 1
P1 P 0.0000 0.3392 0.0000 1
P2 P 0.0000 0.8407 0.5000 1
P3 P 0.2482 0.4819 0.7459 1
O1 O 0.0000 0.7477 0.0000 1
O2 O 0.0602 0.4391 0.1664 1
O3 O 0.0615 0.9408 0.6639 1
O4 O 0.0736 0.7328 0.3966 1
O5 O 0.0780 0.2328 0.9074 1
O6 O 0.1712 0.0868 0.3413 1
O7 O 0.1710 0.5923 0.8340 1
O8 O 0.1896 0.3817 0.5776 1
O9 O 0.1972 0.8797 0.0846 1
F1 F 0.0000 0.2438 0.5000 1
F2 F 0.2498 0.0779 0.7514 1
```

Principal peaks in the range 5 to 70 degrees two-theta, sorted by position:
- 2θ 27.12, d = 3.288 Å, I 36
- 2θ 27.46, d = 3.248 Å, I 95
- 2θ 29.34, d = 3.044 Å, I 100
- 2θ 31.69, d = 2.823 Å, I 32
- 2θ 33.80, d = 2.652 Å, I 75
- 2θ 33.99, d = 2.638 Å, I 49
- 2θ 38.63, d = 2.331 Å, I 40
- 2θ 54.94, d = 1.671 Å, I 32
- 2θ 61.30, d = 1.512 Å, I 28
- 2θ 66.24, d = 1.411 Å, I 29


(3)
Pm3Al3Pt2: computed powder diffraction line list (CuKα), based on a structure optimized by DFT (GGA-PBE).

Crystal structure
```
data_Pm3Al3Pt2
_cell_length_a 8.2011
_cell_length_b 15.2267
_cell_length_c 5.7827
_cell_angle_alpha 90.00
_cell_angle_beta 90.00
_cell_angle_gamma 90.00
_symmetry_space_group_name_H-M 'P n m a'
_symmetry_Int_Tables_number 62
loop_
_symmetry_equiv_pos_as_xyz
'x,y,z'
'-x,-y,-z'
'-x+1/2,-y,z+1/2'
'x+1/2,y,-z+1/2'
'x+1/2,-y+1/2,-z+1/2'
'-x+1/2,y+1/2,z+1/2'
'-x,y+1/2,-z'
'x,-y+1/2,z'
loop_
_atom_site_label
_atom_site_type_symbol
_atom_site_fract_x
_atom_site_fract_y
_atom_site_fract_z
_atom_site_occupancy
Pm1 Pm 0.0375 0.1106 0.1158 1
Pm2 Pm 0.1788 0.2500 0.6203 1
Al1 Al 0.1689 0.7500 0.6057 1
Al2 Al 0.1768 0.0352 0.6082 1
Pt1 Pt 0.1093 0.6052 0.3723 1
```

Principal peaks in the range 5 to 70 degrees two-theta, sorted by position:
- 2θ 23.37, d = 3.807 Å, I 56
- 2θ 25.76, d = 3.459 Å, I 71
- 2θ 27.97, d = 3.190 Å, I 38
- 2θ 32.08, d = 2.790 Å, I 63
- 2θ 33.38, d = 2.684 Å, I 100
- 2θ 35.37, d = 2.538 Å, I 40
- 2θ 35.73, d = 2.513 Å, I 88
- 2θ 36.35, d = 2.471 Å, I 48
- 2θ 37.44, d = 2.402 Å, I 97
- 2θ 53.92, d = 1.700 Å, I 61


(4)
GaTcHg3: computed powder diffraction line list (CuKα), based on a structure optimized by DFT (GGA-PBE).

Crystal structure
```
data_GaTcHg3
_cell_length_a 5.5013
_cell_length_b 5.5143
_cell_length_c 8.3490
_cell_angle_alpha 81.69
_cell_angle_beta 81.44
_cell_angle_gamma 62.39
_symmetry_space_group_name_H-M 'P 1'
_symmetry_Int_Tables_number 1
loop_
_symmetry_equiv_pos_as_xyz
'x,y,z'
loop_
_atom_site_label
_atom_site_type_symbol
_atom_site_fract_x
_atom_site_fract_y
_atom_site_fract_z
_atom_site_occupancy
Ga1 Ga 0.0000 0.0000 0.0000 1
Ga2 Ga 0.4669 0.4679 0.0535 1
Tc1 Tc 0.0605 0.5593 0.9069 1
Tc2 Tc 0.9090 0.4085 0.1446 1
Hg1 Hg 0.0006 0.6739 0.3714 1
Hg2 Hg 0.2078 0.8788 0.6113 1
Hg3 Hg 0.4185 0.9329 0.2256 1
Hg4 Hg 0.5353 0.0491 0.8260 1
Hg5 Hg 0.5932 0.2578 0.4398 1
Hg6 Hg 0.7870 0.4684 0.6845 1
```

Principal peaks in the range 5 to 70 degrees two-theta, sorted by position:
- 2θ 31.41, d = 2.848 Å, I 100
- 2θ 33.09, d = 2.707 Å, I 36
- 2θ 33.24, d = 2.695 Å, I 13
- 2θ 35.04, d = 2.561 Å, I 12
- 2θ 36.14, d = 2.485 Å, I 39
- 2θ 36.76, d = 2.445 Å, I 28
- 2θ 37.64, d = 2.390 Å, I 14
- 2θ 38.46, d = 2.341 Å, I 15
- 2θ 44.88, d = 2.020 Å, I 13
- 2θ 45.11, d = 2.010 Å, I 14